Structure and calculated powder diffractogram of Hg7Se5 (a GGA-PBE-relaxed structure; copper Kα).
Neutral-atom scattering factors, no anomalous dispersion.

Most intense lines, 10° ≤ 2θ ≤ 90°, low angle first:
22.9 deg, 3.881 Å, I = 31, hkl 0 2 1
23.1 deg, 3.854 Å, I = 36, hkl 1 1 -2
24.4 deg, 3.648 Å, I = 28, hkl 3 1 -2
27.2 deg, 3.282 Å, I = 100, hkl 2 2 -2
29.9 deg, 2.985 Å, I = 53, hkl 2 0 1
30.3 deg, 2.954 Å, I = 20, hkl 2 0 -3
30.6 deg, 2.921 Å, I = 41, hkl 3 1 0
34.5 deg, 2.601 Å, I = 33, hkl 4 2 -2
35.5 deg, 2.527 Å, I = 36, hkl 2 2 1
37.9 deg, 2.371 Å, I = 51, hkl 0 4 0

Structural model:
abc: 12.4467 9.4808 9.1290
angles: 90.00 132.25 90.00
Space group Cm (No. 8)
Inequivalent atoms, fractional coordinates:
Hg 0.0000 0.0000 0.0000
Hg 0.0539 0.2717 0.2828
Hg 0.0911 0.5000 0.0372
Hg 0.1536 0.5000 0.6825
Hg 0.3444 0.0000 0.5482
Hg 0.4412 0.5000 0.3747
Se 0.2378 0.0000 0.8559
Se 0.2798 0.1992 0.0446
Se 0.3273 0.2649 0.5487


Structure and calculated powder diffractogram of LaAl2Ga4Pd (a GGA-PBE-relaxed structure; copper Kα).
Neutral-atom scattering factors, no anomalous dispersion.

Most intense lines, 10° ≤ 2θ ≤ 90°, low angle first:
23.6 deg, 3.765 Å, I = 53, hkl 0 1 2
33.1 deg, 2.704 Å, I = 18, hkl 1 0 7
35.8 deg, 2.509 Å, I = 85, hkl 0 1 8
39.7 deg, 2.271 Å, I = 100, hkl 1 1 0
41.6 deg, 2.173 Å, I = 21, hkl 1 0 10
54.5 deg, 1.683 Å, I = 29, hkl 2 0 8
58.8 deg, 1.570 Å, I = 15, hkl 0 2 10
69.5 deg, 1.352 Å, I = 25, hkl 1 2 8
72.0 deg, 1.311 Å, I = 17, hkl 3 0 0
85.6 deg, 1.135 Å, I = 15, hkl 2 2 0

Structural model:
abc: 4.5414 4.5414 26.0641
angles: 90.00 90.00 120.00
Space group R-3m (No. 166, hexagonal axes)
Inequivalent atoms, fractional coordinates:
La 0.0000 0.0000 0.0000
Al 0.0000 0.0000 0.2439
Ga 0.0000 0.0000 0.1344
Ga 0.0000 0.0000 0.3999
Pd 0.0000 0.0000 0.5000


Structure and calculated powder diffractogram of Er2TmAg3 (a GGA-PBE-relaxed structure; copper Kα).
Neutral-atom scattering factors, no anomalous dispersion.

Most intense lines, 10° ≤ 2θ ≤ 90°, low angle first:
24.7 deg, 3.600 Å, I = 4, hkl 0 1 2
35.3 deg, 2.545 Å, I = 100, hkl 1 1 0
43.5 deg, 2.078 Å, I = 1, hkl 2 0 2
50.7 deg, 1.800 Å, I = 18, hkl 0 2 4
57.2 deg, 1.610 Å, I = 2, hkl 1 2 2
63.2 deg, 1.471 Å, I = 9, hkl 0 1 8
63.3 deg, 1.469 Å, I = 27, hkl 3 0 0
74.5 deg, 1.274 Å, I = 6, hkl 2 0 8
74.6 deg, 1.272 Å, I = 5, hkl 2 2 0
85.3 deg, 1.138 Å, I = 16, hkl 1 3 4

Structural model:
abc: 5.0871 5.0871 12.4892
angles: 90.00 90.00 120.00
Space group P-3m1 (No. 164)
Inequivalent atoms, fractional coordinates:
Er 0.0000 0.0000 0.0000
Er 0.0000 0.0000 0.5000
Er 0.3333 0.6667 0.1672
Tm 0.3333 0.6667 0.6666
Ag 0.0000 0.0000 0.2505
Ag 0.3333 0.6667 0.4169
Ag 0.3333 0.6667 0.9163